Record 1
# BiB3O6
Computed powder diffractogram, Cu Kα X-rays. Input: a DFT-relaxed cell (GGA-PBE, the Materials Project).
Kinematic intensities with the Lorentz-polarization factor, no thermal factor.

Main lines, in order of rising 2θ (15° ≤ 2θ ≤ 90°):
20.28°, rel. 62; 22.67°, rel. 81; 28.17°, rel. 56; 28.77°, rel. 37; 30.21°, rel. 48; 31.17°, rel. 46; 32.11°, rel. 100; 44.20°, rel. 29; 46.86°, rel. 35; 47.83°, rel. 39

Cell and atoms:
Cell: 18.6156 4.5049 4.3248 Å, 90.00 90.00 90.00°
Fractional positions:
Bi1 0.1624 0.1567 0.0000
Bi2 0.3376 0.1567 0.5000
Bi3 0.6624 0.8433 0.0000
Bi4 0.8376 0.8433 0.5000
B1 0.0015 0.8249 0.0818
B2 0.0723 0.6721 0.5534
B3 0.2128 0.6359 0.5289
B4 0.2872 0.6359 0.0289
B5 0.4277 0.6721 0.0534
B6 0.4985 0.8249 0.5818
B7 0.5015 0.1751 0.0818
B8 0.5723 0.3279 0.5534
B9 0.7128 0.3641 0.5289
B10 0.7872 0.3641 0.0289
B11 0.9277 0.3279 0.0534
B12 0.9985 0.1751 0.5818
O1 0.0183 0.8729 0.7274
O2 0.0602 0.3622 0.6279
O3 0.0678 0.7381 0.2241
O4 0.1458 0.7564 0.6614
O5 0.2116 0.3113 0.5333
O6 0.2246 0.7480 0.2112
O7 0.2754 0.7480 0.7112
O8 0.2884 0.3113 0.0333
O9 0.3542 0.7564 0.1614
O10 0.4322 0.7381 0.7241
O11 0.4398 0.3622 0.1279
O12 0.4817 0.8729 0.2274
O13 0.5183 0.1271 0.7274
O14 0.5602 0.6378 0.6279
O15 0.5678 0.2619 0.2241
O16 0.6458 0.2436 0.6614
O17 0.7116 0.6887 0.5333
O18 0.7246 0.2520 0.2112
O19 0.7754 0.2520 0.7112
O20 0.7884 0.6887 0.0333
O21 0.8542 0.2436 0.1614
O22 0.9322 0.2619 0.7241
O23 0.9398 0.6378 0.1279
O24 0.9817 0.1271 0.2274

=====

Record 2
# Ba3AlAs3
Computed powder diffractogram, Cu Kα X-rays. Input: a DFT-relaxed cell (GGA-PBE, the Materials Project).
Kinematic intensities with the Lorentz-polarization factor, no thermal factor.

Main lines, in order of rising 2θ (15° ≤ 2θ ≤ 90°):
22.66°, rel. 32; 25.70°, rel. 53; 26.39°, rel. 97; 26.56°, rel. 100; 28.02°, rel. 51; 32.04°, rel. 30; 37.16°, rel. 48; 37.29°, rel. 59; 37.79°, rel. 74; 46.26°, rel. 40

Cell and atoms:
Cell: 10.6486 10.6486 13.5093 Å, 90.00 90.00 37.99°
Fractional positions:
Ba1 0.0117 0.6357 0.1300
Ba2 0.1357 0.5117 0.6300
Ba3 0.1695 0.8305 0.8469
Ba4 0.3305 0.6695 0.3469
Ba5 0.3643 0.9883 0.1300
Ba6 0.4883 0.8643 0.6300
Ba7 0.5117 0.1357 0.3700
Ba8 0.6357 0.0117 0.8700
Ba9 0.6695 0.3305 0.6531
Ba10 0.8305 0.1695 0.1531
Ba11 0.8643 0.4883 0.3700
Ba12 0.9883 0.3643 0.8700
Al1 0.0827 0.0827 0.5000
Al2 0.4173 0.4173 0.0000
Al3 0.5827 0.5827 0.0000
Al4 0.9173 0.9173 0.5000
As1 0.0351 0.6530 0.3822
As2 0.1530 0.5351 0.8822
As3 0.2029 0.7971 0.5961
As4 0.2971 0.7029 0.0961
As5 0.3470 0.9649 0.3822
As6 0.4649 0.8470 0.8822
As7 0.5351 0.1530 0.1178
As8 0.6530 0.0351 0.6178
As9 0.7029 0.2971 0.9039
As10 0.7971 0.2029 0.4039
As11 0.8470 0.4649 0.1178
As12 0.9649 0.3470 0.6178

=====

Record 3
# BaEu3
Computed powder diffractogram, Cu Kα X-rays. Input: a DFT-relaxed cell (GGA-PBE, the Materials Project).
Kinematic intensities with the Lorentz-polarization factor, no thermal factor.

Main lines, in order of rising 2θ (15° ≤ 2θ ≤ 90°):
26.58°, rel. 100; 30.05°, rel. 18; 31.15°, rel. 33; 43.83°, rel. 26; 44.64°, rel. 12; 51.28°, rel. 16; 52.71°, rel. 30; 54.75°, rel. 13; 70.30°, rel. 13; 71.47°, rel. 12

Cell and atoms:
Cell: 5.7417 5.7417 11.8956 Å, 90.00 90.00 90.00°
Fractional positions:
Ba1 0.0000 0.0000 0.0000
Ba2 0.5000 0.5000 0.5000
Eu1 0.0000 0.0000 0.5000
Eu2 0.0000 0.5000 0.2500
Eu3 0.0000 0.5000 0.7500
Eu4 0.5000 0.0000 0.2500
Eu5 0.5000 0.0000 0.7500
Eu6 0.5000 0.5000 0.0000

=====

Record 4
# Ca2Al3O6F
Computed powder diffractogram, Cu Kα X-rays. Input: a DFT-relaxed cell (GGA-PBE, the Materials Project).
Kinematic intensities with the Lorentz-polarization factor, no thermal factor.

Main lines, in order of rising 2θ (15° ≤ 2θ ≤ 90°):
24.65°, rel. 52; 28.59°, rel. 100; 28.71°, rel. 60; 30.68°, rel. 60; 30.75°, rel. 36; 32.96°, rel. 43; 33.11°, rel. 75; 41.85°, rel. 34; 45.20°, rel. 43; 45.34°, rel. 29

Cell and atoms:
Cell: 7.0985 10.3285 10.3654 Å, 114.93 103.20 102.94°
Fractional positions:
Ca1 0.1655 0.3688 0.4043
Ca2 0.1926 0.9698 0.3511
Ca3 0.2186 0.0034 0.9988
Ca4 0.2396 0.4022 0.0301
Ca5 0.7604 0.5978 0.9699
Ca6 0.7814 0.9966 0.0012
Ca7 0.8074 0.0302 0.6489
Ca8 0.8345 0.6312 0.5957
Al1 0.0077 0.4566 0.7618
Al2 0.2449 0.2372 0.6933
Al3 0.3373 0.6810 0.7272
Al4 0.3436 0.9524 0.6793
Al5 0.3914 0.7294 0.0468
Al6 0.4450 0.6915 0.4534
Al7 0.5550 0.3085 0.5466
Al8 0.6086 0.2706 0.9532
Al9 0.6564 0.0476 0.3207
Al10 0.6627 0.3190 0.2728
Al11 0.7551 0.7628 0.3067
Al12 0.9923 0.5434 0.2382
O1 0.0345 0.2839 0.7396
O2 0.1103 0.5172 0.6489
O3 0.1380 0.5927 0.9578
O4 0.1731 0.0412 0.6369
O5 0.2390 0.8310 0.7464
O6 0.2464 0.5376 0.2816
O7 0.2977 0.2596 0.5447
O8 0.4049 0.8660 0.5151
O9 0.4071 0.9167 0.1715
O10 0.4496 0.6285 0.5878
O11 0.4606 0.3500 0.8671
O12 0.4929 0.2564 0.0861
O13 0.5071 0.7436 0.9139
O14 0.5394 0.6500 0.1329
O15 0.5504 0.3715 0.4122
O16 0.5929 0.0833 0.8285
O17 0.5951 0.1340 0.4849
O18 0.7023 0.7404 0.4553
O19 0.7536 0.4624 0.7184
O20 0.7610 0.1690 0.2536
O21 0.8269 0.9588 0.3631
O22 0.8620 0.4073 0.0422
O23 0.8897 0.4828 0.3511
O24 0.9655 0.7161 0.2604
F1 0.0462 0.1533 0.9512
F2 0.1358 0.1332 0.2087
F3 0.8642 0.8668 0.7913
F4 0.9538 0.8467 0.0488